Structure and theoretical X-ray powder pattern of Dy3MoC3 (a DFT-relaxed cell (GGA-PBE, Alexandria); copper Kα).
Peak positions follow from Bragg's law for the DFT cell and can differ from measured ones.

Principal peaks in the range 10 to 90 degrees two-theta, most intense first:
d [Å], 2θ (°), I/Imax
2.831, 31.6, 100
2.578, 34.8, 27
2.631, 34.1, 18
2.756, 32.5, 17
1.533, 60.4, 14
1.842, 49.5, 13

Atomic structure:
a = 6.873 Å, b = 6.873 Å, c = 5.156 Å
α = 90.00°, β = 90.00°, γ = 99.95°
Fractional coordinates of all 14 atoms:
1 Dy 0.110 0.890 0.750
2 Dy 0.166 0.400 0.750
3 Dy 0.400 0.166 0.250
4 Dy 0.600 0.834 0.750
5 Dy 0.834 0.600 0.250
6 Dy 0.890 0.110 0.250
7 Mo 0.310 0.690 0.250
8 Mo 0.690 0.310 0.750
9 C 0.123 0.877 0.250
10 C 0.172 0.412 0.250
11 C 0.412 0.172 0.750
12 C 0.588 0.828 0.250
13 C 0.828 0.588 0.750
14 C 0.877 0.123 0.750